Diffraction record for UCu3S4. The powder X-ray diffraction pattern is theoretical, not measured: it uses a structure optimized by DFT (GGA-PBE) and Cu Kα X-rays.
No peak broadening, texture or thermal motion is included.

Crystal structure
Cell: 5.758 5.758 5.758 Å, 90.00 90.00 90.00°
Positions (direct):
1 U 0.000 0.000 0.000
2 Cu 0.000 0.000 0.500
3 Cu 0.000 0.500 0.000
4 Cu 0.500 0.000 0.000
5 S 0.249 0.249 0.249
6 S 0.249 0.751 0.751
7 S 0.751 0.249 0.751
8 S 0.751 0.751 0.249

Top 10 peaks for 2θ from 5° to 70°, low angle first:
15.4°, I 1000; 21.8°, I 245; 26.8°, I 81; 31.1°, I 195; 34.8°, I 557; 38.3°, I 124; 44.5°, I 504; 47.4°, I 297; 57.7°, I 134; 67.0°, I 170

---

Diffraction record for TaS2O. The powder X-ray diffraction pattern is theoretical, not measured: it uses a structure optimized by DFT (GGA-PBE) and Cu Kα X-rays.
No peak broadening, texture or thermal motion is included.

Crystal structure
Cell: 6.255 4.890 11.570 Å, 90.00 120.79 90.00°
Positions (direct):
1 Ta 0.174 0.009 0.385
2 Ta 0.174 0.491 0.885
3 Ta 0.826 0.509 0.115
4 Ta 0.826 0.991 0.615
5 S 0.104 0.677 0.547
6 S 0.104 0.823 0.047
7 S 0.488 0.198 0.609
8 S 0.488 0.302 0.109
9 S 0.512 0.698 0.891
10 S 0.512 0.802 0.391
11 S 0.896 0.177 0.953
12 S 0.896 0.323 0.453
13 O 0.094 0.217 0.754
14 O 0.094 0.283 0.254
15 O 0.906 0.717 0.746
16 O 0.906 0.783 0.246

Top 10 peaks for 2θ from 5° to 70°, low angle first:
16.5°, I 405; 17.0°, I 782; 20.2°, I 1000; 28.6°, I 253; 29.0°, I 546; 29.6°, I 853; 30.1°, I 280; 32.6°, I 244; 35.0°, I 456; 61.5°, I 274